Record 1
Starting from a cell relaxed with PBE, the PXRD pattern of LaPa4O10 was computed for copper Kα.
Kinematic intensities with the Lorentz-polarization factor, no thermal factor.

Atomic structure:
```
data_LaPa4O10
_chemical_formula_sum 'La1 Pa4 O10'
_space_group_name_H-M_alt 'P 1'
_space_group_IT_number 1
_cell_length_a 16.040
_cell_length_b 16.040
_cell_length_c 16.040
_cell_angle_alpha 13.97
_cell_angle_beta 13.97
_cell_angle_gamma 13.97
loop_
_space_group_symop_operation_xyz
'x,y,z'
loop_
_atom_site_label
_atom_site_fract_x
_atom_site_fract_y
_atom_site_fract_z
La1 0.000 0.000 0.000
Pa1 0.200 0.200 0.200
Pa2 0.401 0.401 0.401
Pa3 0.599 0.599 0.599
Pa4 0.800 0.800 0.800
O1 0.055 0.055 0.055
O2 0.150 0.150 0.150
O3 0.248 0.248 0.248
O4 0.355 0.355 0.355
O5 0.451 0.451 0.451
O6 0.549 0.549 0.549
O7 0.645 0.645 0.645
O8 0.752 0.752 0.752
O9 0.850 0.850 0.850
O10 0.945 0.945 0.945
```

The 10 most intense peaks (5° ≤ 2θ ≤ 70°), sorted by position:
d 15.881, 5.56°, I = 7.7; d 7.941, 11.14°, I = 1.7; d 3.182, 28.04°, I = 100.0; d 2.756, 32.49°, I = 36.2; d 1.948, 46.61°, I = 50.0; d 1.662, 55.26°, I = 35.2; d 1.660, 55.35°, I = 11.7; d 1.592, 57.93°, I = 7.8; d 1.588, 58.08°, I = 2.7; d 1.378, 68.05°, I = 7.8

Record 2
Starting from a cell relaxed with PBE, the PXRD pattern of Na3HoO3 was computed for copper Kα.
Kinematic intensities with the Lorentz-polarization factor, no thermal factor.

Atomic structure:
```
data_Na3HoO3
_chemical_formula_sum 'Na6 Ho2 O6'
_space_group_name_H-M_alt 'P 1'
_space_group_IT_number 1
_cell_length_a 6.932
_cell_length_b 6.932
_cell_length_c 6.932
_cell_angle_alpha 122.33
_cell_angle_beta 119.58
_cell_angle_gamma 88.36
loop_
_space_group_symop_operation_xyz
'x,y,z'
loop_
_atom_site_label
_atom_site_fract_x
_atom_site_fract_y
_atom_site_fract_z
Na1 0.000 0.221 0.221
Na2 0.000 0.779 0.779
Na3 0.472 0.222 0.250
Na4 0.500 0.221 0.721
Na5 0.500 0.779 0.279
Na6 0.528 0.778 0.750
Ho1 0.031 0.781 0.250
Ho2 0.969 0.219 0.750
O1 0.218 0.000 0.718
O2 0.218 0.500 0.218
O3 0.240 0.990 0.250
O4 0.760 0.010 0.750
O5 0.782 0.000 0.282
O6 0.782 0.500 0.782
```

The 10 most intense peaks (5° ≤ 2θ ≤ 70°), sorted by position:
d 5.710, 15.52°, I = 100.0; d 5.548, 15.97°, I = 18.9; d 4.971, 17.84°, I = 36.1; d 2.885, 31.00°, I = 31.0; d 2.855, 31.33°, I = 27.4; d 2.774, 32.27°, I = 23.7; d 2.486, 36.14°, I = 16.6; d 2.413, 37.26°, I = 44.4; d 2.171, 41.60°, I = 17.0; d 1.732, 52.88°, I = 19.5

Record 3
Starting from a cell relaxed with PBE, the PXRD pattern of TlCdBO3 was computed for copper Kα.
Kinematic intensities with the Lorentz-polarization factor, no thermal factor.

Atomic structure:
```
data_TlCdBO3
_chemical_formula_sum 'Tl2 Cd2 B2 O6'
_space_group_name_H-M_alt 'P 1'
_space_group_IT_number 1
_cell_length_a 5.557
_cell_length_b 5.557
_cell_length_c 6.311
_cell_angle_alpha 90.00
_cell_angle_beta 90.00
_cell_angle_gamma 120.00
loop_
_space_group_symop_operation_xyz
'x,y,z'
loop_
_atom_site_label
_atom_site_fract_x
_atom_site_fract_y
_atom_site_fract_z
Tl1 0.333 0.667 0.250
Tl2 0.667 0.333 0.750
Cd1 0.000 0.000 0.000
Cd2 0.000 0.000 0.500
B1 0.333 0.667 0.750
B2 0.667 0.333 0.250
O1 0.187 0.375 0.750
O2 0.187 0.813 0.750
O3 0.375 0.187 0.250
O4 0.625 0.813 0.750
O5 0.813 0.187 0.250
O6 0.813 0.625 0.250
```

The 10 most intense peaks (5° ≤ 2θ ≤ 70°), sorted by position:
d 3.827, 23.24°, I = 97.4; d 2.778, 32.22°, I = 100.0; d 2.639, 33.97°, I = 86.8; d 2.248, 40.11°, I = 48.9; d 1.927, 47.15°, I = 16.6; d 1.913, 47.52°, I = 40.6; d 1.748, 52.35°, I = 28.9; d 1.604, 57.45°, I = 18.9; d 1.576, 58.56°, I = 38.4; d 1.372, 68.38°, I = 23.0

Record 4
Starting from a cell relaxed with PBE, the PXRD pattern of NaZn2ReN4 was computed for copper Kα.
Kinematic intensities with the Lorentz-polarization factor, no thermal factor.

Atomic structure:
```
data_NaZn2ReN4
_chemical_formula_sum 'Na2 Zn4 Re2 N8'
_space_group_name_H-M_alt 'P 1'
_space_group_IT_number 1
_cell_length_a 7.020
_cell_length_b 5.648
_cell_length_c 5.453
_cell_angle_alpha 90.00
_cell_angle_beta 90.00
_cell_angle_gamma 90.00
loop_
_space_group_symop_operation_xyz
'x,y,z'
loop_
_atom_site_label
_atom_site_fract_x
_atom_site_fract_y
_atom_site_fract_z
Na1 0.000 0.171 0.000
Na2 0.500 0.829 0.500
Zn1 0.246 0.327 0.512
Zn2 0.254 0.673 0.012
Zn3 0.746 0.673 0.012
Zn4 0.754 0.327 0.512
Re1 0.000 0.811 0.514
Re2 0.500 0.189 0.014
N1 0.000 0.133 0.446
N2 0.000 0.765 0.848
N3 0.209 0.667 0.382
N4 0.291 0.333 0.882
N5 0.500 0.235 0.348
N6 0.500 0.867 0.946
N7 0.709 0.333 0.882
N8 0.791 0.667 0.382
```

The 10 most intense peaks (5° ≤ 2θ ≤ 70°), sorted by position:
d 4.400, 20.18°, I = 51.1; d 4.306, 20.63°, I = 61.0; d 2.981, 29.97°, I = 23.5; d 2.824, 31.68°, I = 22.9; d 2.727, 32.85°, I = 40.2; d 2.616, 34.28°, I = 100.0; d 2.508, 35.81°, I = 28.5; d 1.659, 55.38°, I = 18.7; d 1.552, 59.57°, I = 25.8; d 1.417, 65.91°, I = 23.8

Record 5
Starting from a cell relaxed with PBE, the PXRD pattern of Nd3Dy4 was computed for copper Kα.
Kinematic intensities with the Lorentz-polarization factor, no thermal factor.

Atomic structure:
```
data_Nd3Dy4
_chemical_formula_sum 'Nd3 Dy4'
_space_group_name_H-M_alt 'P 1'
_space_group_IT_number 1
_cell_length_a 6.240
_cell_length_b 6.240
_cell_length_c 8.054
_cell_angle_alpha 97.45
_cell_angle_beta 97.45
_cell_angle_gamma 48.19
loop_
_space_group_symop_operation_xyz
'x,y,z'
loop_
_atom_site_label
_atom_site_fract_x
_atom_site_fract_y
_atom_site_fract_z
Nd1 0.000 0.000 0.000
Nd2 0.286 0.286 0.854
Nd3 0.714 0.714 0.146
Dy1 0.142 0.142 0.430
Dy2 0.428 0.428 0.290
Dy3 0.572 0.572 0.710
Dy4 0.858 0.858 0.570
```

The 7 most intense peaks (5° ≤ 2θ ≤ 70°), sorted by position:
d 7.972, 11.10°, I = 0.5; d 2.941, 30.39°, I = 100.0; d 2.547, 35.23°, I = 33.9; d 2.547, 35.24°, I = 16.9; d 1.801, 50.69°, I = 36.1; d 1.536, 60.25°, I = 43.0; d 1.471, 63.23°, I = 12.4

Record 6
Starting from a cell relaxed with PBE, the PXRD pattern of La2Tb4Nd was computed for copper Kα.
Kinematic intensities with the Lorentz-polarization factor, no thermal factor.

Atomic structure:
```
data_La2Tb4Nd
_chemical_formula_sum 'La4 Tb8 Nd2'
_space_group_name_H-M_alt 'P 1'
_space_group_IT_number 1
_cell_length_a 6.939
_cell_length_b 10.558
_cell_length_c 7.084
_cell_angle_alpha 90.00
_cell_angle_beta 106.54
_cell_angle_gamma 90.00
loop_
_space_group_symop_operation_xyz
'x,y,z'
loop_
_atom_site_label
_atom_site_fract_x
_atom_site_fract_y
_atom_site_fract_z
La1 0.000 0.000 0.000
La2 0.000 0.000 0.500
La3 0.000 0.500 0.000
La4 0.500 0.000 0.000
Tb1 0.270 0.221 0.311
Tb2 0.270 0.779 0.311
Tb3 0.273 0.285 0.810
Tb4 0.273 0.715 0.810
Tb5 0.727 0.285 0.190
Tb6 0.727 0.715 0.190
Tb7 0.730 0.221 0.689
Tb8 0.730 0.779 0.689
Nd1 0.000 0.500 0.500
Nd2 0.500 0.500 0.500
```

The 10 most intense peaks (5° ≤ 2θ ≤ 70°), sorted by position:
d 3.897, 22.82°, I = 9.9; d 2.983, 29.96°, I = 19.3; d 2.887, 30.98°, I = 17.3; d 2.856, 31.32°, I = 51.1; d 2.813, 31.82°, I = 100.0; d 2.726, 32.85°, I = 12.8; d 2.640, 33.96°, I = 21.4; d 1.924, 47.25°, I = 14.9; d 1.663, 55.23°, I = 10.0; d 1.615, 57.01°, I = 14.9

Record 7
Starting from a cell relaxed with PBE, the PXRD pattern of K3MgI6 was computed for copper Kα.
Kinematic intensities with the Lorentz-polarization factor, no thermal factor.

Atomic structure:
```
data_K3MgI6
_chemical_formula_sum 'K6 Mg2 I12'
_space_group_name_H-M_alt 'P 1'
_space_group_IT_number 1
_cell_length_a 12.224
_cell_length_b 12.224
_cell_length_c 6.902
_cell_angle_alpha 90.00
_cell_angle_beta 90.00
_cell_angle_gamma 105.01
loop_
_space_group_symop_operation_xyz
'x,y,z'
loop_
_atom_site_label
_atom_site_fract_x
_atom_site_fract_y
_atom_site_fract_z
K1 0.120 0.880 0.500
K2 0.199 0.435 0.477
K3 0.435 0.199 0.977
K4 0.565 0.801 0.477
K5 0.801 0.565 0.977
K6 0.880 0.120 0.000
Mg1 0.294 0.706 0.890
Mg2 0.706 0.294 0.390
I1 0.076 0.619 0.764
I2 0.158 0.165 0.737
I3 0.165 0.158 0.237
I4 0.288 0.712 0.283
I5 0.381 0.924 0.764
I6 0.430 0.570 0.783
I7 0.570 0.430 0.283
I8 0.619 0.076 0.264
I9 0.712 0.288 0.783
I10 0.835 0.842 0.737
I11 0.842 0.835 0.237
I12 0.924 0.381 0.264
```

The 10 most intense peaks (5° ≤ 2θ ≤ 70°), sorted by position:
d 5.944, 14.91°, I = 26.7; d 4.849, 18.29°, I = 37.0; d 4.806, 18.46°, I = 52.5; d 3.968, 22.41°, I = 35.5; d 3.943, 22.55°, I = 50.0; d 3.451, 25.82°, I = 37.7; d 3.419, 26.06°, I = 80.1; d 3.056, 29.22°, I = 46.9; d 2.807, 31.88°, I = 100.0; d 2.480, 36.22°, I = 29.0

Record 8
Starting from a cell relaxed with PBE, the PXRD pattern of Rb3Y3SnTe8 was computed for copper Kα.
Kinematic intensities with the Lorentz-polarization factor, no thermal factor.

Atomic structure:
```
data_Rb3Y3SnTe8
_chemical_formula_sum 'Rb3 Y3 Sn1 Te8'
_space_group_name_H-M_alt 'P 1'
_space_group_IT_number 1
_cell_length_a 8.882
_cell_length_b 8.882
_cell_length_c 10.179
_cell_angle_alpha 115.94
_cell_angle_beta 115.94
_cell_angle_gamma 59.89
loop_
_space_group_symop_operation_xyz
'x,y,z'
loop_
_atom_site_label
_atom_site_fract_x
_atom_site_fract_y
_atom_site_fract_z
Rb1 0.000 0.000 0.000
Rb2 0.000 0.500 0.000
Rb3 0.500 0.000 0.000
Y1 0.000 0.500 0.500
Y2 0.500 0.000 0.500
Y3 0.500 0.500 0.500
Sn1 0.000 0.000 0.500
Te1 0.229 0.229 0.695
Te2 0.229 0.737 0.695
Te3 0.263 0.771 0.305
Te4 0.267 0.267 0.300
Te5 0.733 0.733 0.700
Te6 0.737 0.229 0.695
Te7 0.771 0.263 0.305
Te8 0.771 0.771 0.305
```

The 10 most intense peaks (5° ≤ 2θ ≤ 70°), sorted by position:
d 8.787, 10.07°, I = 28.3; d 3.320, 26.85°, I = 100.0; d 2.690, 33.31°, I = 16.5; d 2.502, 35.90°, I = 31.2; d 2.219, 40.65°, I = 36.8; d 2.034, 44.55°, I = 12.0; d 1.844, 49.43°, I = 12.2; d 1.660, 55.34°, I = 8.8; d 1.418, 65.85°, I = 10.2; d 1.378, 68.05°, I = 7.3

Record 9
Starting from a cell relaxed with PBE, the PXRD pattern of CsNi2AgCl8 was computed for copper Kα.
Kinematic intensities with the Lorentz-polarization factor, no thermal factor.

Atomic structure:
```
data_CsNi2AgCl8
_chemical_formula_sum 'Cs1 Ni2 Ag1 Cl8'
_space_group_name_H-M_alt 'P 1'
_space_group_IT_number 1
_cell_length_a 10.278
_cell_length_b 10.278
_cell_length_c 10.278
_cell_angle_alpha 36.88
_cell_angle_beta 36.88
_cell_angle_gamma 36.88
loop_
_space_group_symop_operation_xyz
'x,y,z'
loop_
_atom_site_label
_atom_site_fract_x
_atom_site_fract_y
_atom_site_fract_z
Cs1 0.000 0.000 0.000
Ni1 0.245 0.245 0.245
Ni2 0.755 0.755 0.755
Ag1 0.500 0.500 0.500
Cl1 0.100 0.772 0.461
Cl2 0.228 0.539 0.900
Cl3 0.321 0.321 0.321
Cl4 0.461 0.100 0.772
Cl5 0.539 0.900 0.228
Cl6 0.679 0.679 0.679
Cl7 0.772 0.461 0.100
Cl8 0.900 0.228 0.539
```

The 10 most intense peaks (5° ≤ 2θ ≤ 70°), sorted by position:
d 4.430, 20.04°, I = 100.0; d 3.251, 27.44°, I = 38.8; d 3.078, 29.01°, I = 26.1; d 3.026, 29.52°, I = 25.6; d 2.689, 33.32°, I = 32.2; d 2.621, 34.21°, I = 21.5; d 2.040, 44.40°, I = 22.3; d 1.927, 47.17°, I = 34.4; d 1.877, 48.50°, I = 27.8; d 1.830, 49.82°, I = 12.0

Record 10
Starting from a cell relaxed with PBE, the PXRD pattern of Pr4Sm10Dy was computed for copper Kα.
Kinematic intensities with the Lorentz-polarization factor, no thermal factor.

Atomic structure:
```
data_Pr4Sm10Dy
_chemical_formula_sum 'Pr4 Sm10 Dy1'
_space_group_name_H-M_alt 'P 1'
_space_group_IT_number 1
_cell_length_a 8.813
_cell_length_b 8.813
_cell_length_c 8.813
_cell_angle_alpha 111.40
_cell_angle_beta 111.40
_cell_angle_gamma 105.68
loop_
_space_group_symop_operation_xyz
'x,y,z'
loop_
_atom_site_label
_atom_site_fract_x
_atom_site_fract_y
_atom_site_fract_z
Pr1 0.060 0.671 0.731
Pr2 0.329 0.060 0.389
Pr3 0.671 0.940 0.611
Pr4 0.940 0.329 0.269
Sm1 0.131 0.224 0.678
Sm2 0.224 0.546 0.093
Sm3 0.250 0.750 0.500
Sm4 0.454 0.131 0.907
Sm5 0.454 0.546 0.678
Sm6 0.546 0.454 0.322
Sm7 0.546 0.869 0.093
Sm8 0.750 0.250 0.500
Sm9 0.776 0.454 0.907
Sm10 0.869 0.776 0.322
Dy1 0.000 0.000 0.000
```

The 10 most intense peaks (5° ≤ 2θ ≤ 70°), sorted by position:
d 3.342, 26.67°, I = 85.5; d 3.161, 28.23°, I = 87.0; d 3.141, 28.42°, I = 100.0; d 2.773, 32.29°, I = 77.8; d 2.705, 33.12°, I = 88.8; d 2.667, 33.61°, I = 40.6; d 2.221, 40.62°, I = 29.7; d 2.176, 41.50°, I = 32.9; d 2.050, 44.19°, I = 37.3; d 1.571, 58.78°, I = 34.6

Record 11
Starting from a cell relaxed with PBE, the PXRD pattern of CdIn12Hg4 was computed for copper Kα.
Kinematic intensities with the Lorentz-polarization factor, no thermal factor.

Atomic structure:
```
data_CdIn12Hg4
_chemical_formula_sum 'Cd1 In12 Hg4'
_space_group_name_H-M_alt 'P 1'
_space_group_IT_number 1
_cell_length_a 8.683
_cell_length_b 8.721
_cell_length_c 8.747
_cell_angle_alpha 109.53
_cell_angle_beta 109.36
_cell_angle_gamma 109.24
loop_
_space_group_symop_operation_xyz
'x,y,z'
loop_
_atom_site_label
_atom_site_fract_x
_atom_site_fract_y
_atom_site_fract_z
Cd1 0.000 0.000 0.000
In1 0.149 0.499 0.348
In2 0.151 0.802 0.652
In3 0.199 0.347 0.848
In4 0.347 0.849 0.197
In5 0.350 0.150 0.499
In6 0.499 0.349 0.151
In7 0.501 0.651 0.849
In8 0.650 0.850 0.501
In9 0.653 0.151 0.803
In10 0.801 0.653 0.152
In11 0.849 0.198 0.348
In12 0.851 0.501 0.652
Hg1 0.000 0.000 0.500
Hg2 0.000 0.500 0.000
Hg3 0.500 0.000 0.000
Hg4 0.500 0.500 0.500
```

The 10 most intense peaks (5° ≤ 2θ ≤ 70°), sorted by position:
d 5.039, 17.60°, I = 43.3; d 3.572, 24.93°, I = 32.3; d 3.554, 25.06°, I = 32.9; d 3.190, 27.97°, I = 100.0; d 3.181, 28.05°, I = 50.7; d 2.259, 39.91°, I = 35.2; d 2.253, 40.01°, I = 34.9; d 2.248, 40.12°, I = 34.5; d 2.063, 43.90°, I = 41.3; d 2.057, 44.01°, I = 24.3

Record 12
Starting from a cell relaxed with PBE, the PXRD pattern of LaTbRh was computed for copper Kα.
Kinematic intensities with the Lorentz-polarization factor, no thermal factor.

Atomic structure:
```
data_LaTbRh
_chemical_formula_sum 'La2 Tb2 Rh2'
_space_group_name_H-M_alt 'P 1'
_space_group_IT_number 1
_cell_length_a 6.044
_cell_length_b 4.439
_cell_length_c 6.727
_cell_angle_alpha 90.00
_cell_angle_beta 106.15
_cell_angle_gamma 90.00
loop_
_space_group_symop_operation_xyz
'x,y,z'
loop_
_atom_site_label
_atom_site_fract_x
_atom_site_fract_y
_atom_site_fract_z
La1 0.068 0.250 0.285
La2 0.932 0.750 0.715
Tb1 0.476 0.250 0.792
Tb2 0.524 0.750 0.208
Rh1 0.329 0.750 0.544
Rh2 0.671 0.250 0.456
```

The 10 most intense peaks (5° ≤ 2θ ≤ 70°), sorted by position:
d 6.461, 13.70°, I = 22.1; d 3.342, 26.67°, I = 33.0; d 3.231, 27.61°, I = 14.3; d 2.975, 30.03°, I = 24.2; d 2.897, 30.86°, I = 100.0; d 2.612, 34.33°, I = 44.7; d 2.539, 35.36°, I = 28.3; d 2.219, 40.65°, I = 28.4; d 1.994, 45.49°, I = 27.0; d 1.671, 54.95°, I = 15.9